# 1
The following is a computed X-ray diffraction stick pattern of LuSn6. It was derived from a PBE-relaxed structure, using CuKα.
Intensities are scaled so that the largest is 100.

Structure:
```
data_LuSn6
_cell_length_a 8.097
_cell_length_b 8.097
_cell_length_c 8.097
_cell_angle_alpha 90.00
_cell_angle_beta 90.00
_cell_angle_gamma 90.00
_symmetry_space_group_name_H-M 'I m -3 m'
_symmetry_Int_Tables_number 229
_symmetry_space_group_name_Hall '-I 4 2 3'
loop_
_atom_site_label
_atom_site_fract_x
_atom_site_fract_y
_atom_site_fract_z
_atom_site_occupancy
Lu1 0.000 0.000 0.000 1
Sn1 0.000 0.250 0.500 1
```

Principal peaks in the range 2θ = 10–80°, by intensity:
2theta, d [Å], Rel. int.
26.97, 3.306, 100
41.74, 2.164, 63
21.95, 4.049, 41
44.77, 2.024, 31
38.51, 2.337, 24
65.17, 1.431, 21
71.87, 1.314, 20
62.86, 1.478, 19

# 2
The following is a computed X-ray diffraction stick pattern of La4Pm4Mg. It was derived from a PBE-relaxed structure, using CuKα.
Intensities are scaled so that the largest is 100.

Structure:
```
data_La4Pm4Mg
_cell_length_a 7.843
_cell_length_b 15.851
_cell_length_c 10.051
_cell_angle_alpha 90.00
_cell_angle_beta 90.00
_cell_angle_gamma 90.00
_symmetry_space_group_name_H-M 'C m c m'
_symmetry_Int_Tables_number 63
_symmetry_space_group_name_Hall '-C 2c 2'
loop_
_atom_site_label
_atom_site_fract_x
_atom_site_fract_y
_atom_site_fract_z
_atom_site_occupancy
La1 0.196 0.000 0.000 1
La2 0.221 0.148 0.250 1
Pm1 0.000 0.274 0.504 1
Pm2 0.227 0.147 0.750 1
Mg1 0.000 0.500 0.250 1
```

Principal peaks in the range 2θ = 10–80°, by intensity:
2theta, d [Å], Rel. int.
28.69, 3.112, 100
31.05, 2.880, 77
35.73, 2.513, 40
28.88, 3.092, 37
27.00, 3.303, 27
41.20, 2.191, 24
36.87, 2.438, 22
32.11, 2.787, 21

# 3
The following is a computed X-ray diffraction stick pattern of Ca4MgAg2. It was derived from a PBE-relaxed structure, using CuKα.
Intensities are scaled so that the largest is 100.

Structure:
```
data_Ca4MgAg2
_cell_length_a 5.469
_cell_length_b 9.477
_cell_length_c 16.119
_cell_angle_alpha 90.00
_cell_angle_beta 90.00
_cell_angle_gamma 90.00
_symmetry_space_group_name_H-M 'C m c m'
_symmetry_Int_Tables_number 63
_symmetry_space_group_name_Hall '-C 2c 2'
loop_
_atom_site_label
_atom_site_fract_x
_atom_site_fract_y
_atom_site_fract_z
_atom_site_occupancy
Ca1 0.000 0.000 0.000 1
Ca2 0.000 0.333 0.129 1
Ca3 0.000 0.334 0.750 1
Mg1 0.000 0.001 0.750 1
Ag1 0.000 0.334 0.560 1
```

Principal peaks in the range 2θ = 10–80°, by intensity:
2theta, d [Å], Rel. int.
32.74, 2.735, 100
33.63, 2.665, 82
10.98, 8.060, 42
59.01, 1.565, 29
47.64, 1.909, 29
18.73, 4.737, 26
25.06, 3.553, 19
34.63, 2.590, 17